(1)
Structure and simulated powder XRD pattern of K2CdIBr3 (a structure optimized by DFT (GGA-PBE); a wavelength of 1.5418 Å).
Lines closer than 0.1° are merged.

The 10 most intense peaks (10° ≤ 2θ ≤ 90°), in order of rising 2θ:
2theta, I_rel
10.72, 100
16.54, 52
24.25, 44
30.13, 57
30.75, 43
31.58, 50
32.54, 40
44.21, 38
44.94, 32
55.96, 32

Atomic structure:
```
K2CdIBr3
1.0
5.667 0.000 0.000
0.000 5.931 0.000
0.000 0.000 16.511
K Cd I Br
4 2 2 6
Cartesian
0.000 0.000 2.294
0.000 0.000 14.216
2.833 2.966 5.961
2.833 2.966 10.550
0.000 0.000 8.255
2.833 2.966 0.000
0.000 2.966 8.255
2.833 0.000 0.000
0.000 0.000 5.511
0.000 0.000 11.000
0.000 2.966 0.000
2.833 0.000 8.255
2.833 2.966 2.745
2.833 2.966 13.766
```


(2)
Structure and simulated powder XRD pattern of La2CdI4Br2 (a structure optimized by DFT (GGA-PBE); a wavelength of 1.5418 Å).
Lines closer than 0.1° are merged.

The 10 most intense peaks (10° ≤ 2θ ≤ 90°), in order of rising 2θ:
2theta, I_rel
10.92, 83
24.46, 79
28.60, 79
30.69, 100
33.11, 39
35.75, 48
38.61, 27
43.05, 68
53.80, 20
63.85, 24

Atomic structure:
```
La2CdI4Br2
1.0
4.202 0.000 0.000
-2.101 3.639 0.000
0.000 0.000 24.297
La Cd I Br
2 1 4 2
Cartesian
0.000 0.000 0.000
0.000 2.426 8.463
0.000 2.426 16.645
0.000 0.000 6.301
0.000 0.000 10.610
0.000 2.426 2.162
0.000 2.426 22.154
0.000 0.000 14.952
0.000 0.000 18.347
```


(3)
Structure and simulated powder XRD pattern of Rb2CdI2Br2 (a structure optimized by DFT (GGA-PBE); a wavelength of 1.5418 Å).
Lines closer than 0.1° are merged.

The 10 most intense peaks (10° ≤ 2θ ≤ 90°), in order of rising 2θ:
2theta, I_rel
14.53, 32
14.64, 33
24.23, 64
25.37, 50
25.55, 49
25.75, 58
29.52, 100
29.97, 36
41.39, 27
44.90, 34

Atomic structure:
```
Rb2CdI2Br2
1.0
11.926 0.000 0.000
0.000 6.095 4.297
0.000 -6.095 4.297
Rb Cd I Br
4 2 4 4
Cartesian
0.000 0.000 0.000
2.981 2.137 3.938
5.963 0.000 0.000
8.944 -2.137 3.938
2.981 -2.677 3.959
8.944 2.677 3.959
0.667 -2.557 5.566
5.296 -2.557 5.566
6.630 2.557 5.566
11.259 2.557 5.566
2.981 -0.875 2.013
2.981 1.005 7.116
8.944 0.875 2.013
8.944 -1.005 7.116
```